For NaSrCr2O8, a structure optimized by DFT (PBE+U) gives the calculated X-ray powder pattern in this record (λ = 1.5418 Å (Cu Kα)).
Neutral-atom scattering factors, no anomalous dispersion.

Cell and atoms:
```
NaSrCr2O8
1.0
2.784 1.607 6.486
-2.784 1.607 6.486
0.000 -3.214 6.486
Na Sr Cr O
1 1 2 8
direct
0.000 0.000 0.000
0.500 0.500 0.500
0.241 0.241 0.241
0.759 0.759 0.759
0.045 0.676 0.481
0.156 0.156 0.156
0.324 0.519 0.955
0.481 0.045 0.676
0.519 0.955 0.324
0.676 0.481 0.045
0.844 0.844 0.844
0.955 0.324 0.519
```

The 10 most intense peaks (2θ from 15° to 90°), in order of rising 2θ:
18.96°, d = 4.680 Å, I = 15; 26.02°, d = 3.424 Å, I = 100; 32.16°, d = 2.784 Å, I = 61; 35.08°, d = 2.558 Å, I = 44; 41.59°, d = 2.172 Å, I = 35; 41.82°, d = 2.160 Å, I = 24; 53.71°, d = 1.707 Å, I = 22; 57.33°, d = 1.607 Å, I = 20; 63.82°, d = 1.458 Å, I = 15; 66.76°, d = 1.401 Å, I = 13